Entry 1:
PmAlGaRh: computed powder XRD pattern (Cu Ka), based on a crystal structure in Alexandria, relaxed with PBE.
Lines closer than 0.1° are merged.

Main lines, in order of falling intensity (2θ = 5–70°):
| index | Position (°2θ) | Rel. int. |
| --- | --- | --- |
| 2 2 0 | 38.0 | 100 |
| 4 2 2 | 68.6 | 34 |
| 1 1 1 | 23.0 | 30 |
| 4 0 0 | 54.8 | 17 |
| 3 1 1 | 44.8 | 16 |
| 3 3 1 | 60.2 | 7 |

Atomic structure:
a b c (Å): 6.704 6.704 6.704
angles (deg): 90.00 90.00 90.00
Space group F-43m (No. 216)
Inequivalent atoms, fractional coordinates:
Pm1 0.000 0.000 0.000 (multiplicity 4)
Al1 0.000 0.000 0.500 (multiplicity 4)
Ga1 0.250 0.250 0.250 (multiplicity 4)
Rh1 0.250 0.250 0.750 (multiplicity 4)

***

Entry 2:
PmAl2GaS6: computed powder XRD pattern (Cu Ka), based on a crystal structure in Alexandria, relaxed with PBE.
Lines closer than 0.1° are merged.

Main lines, in order of falling intensity (2θ = 5–70°):
| index | Position (°2θ) | Rel. int. |
| --- | --- | --- |
| 1 1 0 | 11.1 | 100 |
| 2 0 0 | 15.0 | 86 |
| 1 3 0 | 25.7 | 63 |
| 3 1 0 | 24.1 | 55 |
| 4 0 -2 | 31.5 | 53 |
| 2 2 0 | 22.2 | 53 |
| 1 1 2 | 32.3 | 44 |
| 3 3 0 | 33.6 | 41 |
| 1 3 -2 | 35.4 | 36 |
| 1 3 2 | 40.1 | 35 |

Atomic structure:
a b c (Å): 12.908 10.878 7.180
angles (deg): 90.00 114.13 90.00
Space group C2/c (No. 15)
Inequivalent atoms, fractional coordinates:
Pm1 0.000 0.166 0.250 (multiplicity 4)
Al1 0.189 0.440 0.193 (multiplicity 8)
Ga1 0.000 0.190 0.750 (multiplicity 4)
S1 0.114 0.059 0.653 (multiplicity 8)
S2 0.133 0.252 0.054 (multiplicity 8)
S3 0.139 0.409 0.458 (multiplicity 8)

***

Entry 3:
Pr4AlGa3: computed powder XRD pattern (Cu Ka), based on a crystal structure in Alexandria, relaxed with PBE.
Lines closer than 0.1° are merged.

Main lines, in order of falling intensity (2θ = 5–70°):
| index | Position (°2θ) | Rel. int. |
| --- | --- | --- |
| 1 1 1 | 30.0 | 100 |
| 0 1 3 | 30.6 | 52 |
| 1 1 3 | 37.5 | 45 |
| 1 0 2 | 26.2 | 31 |
| 0 2 0 | 39.9 | 26 |
| 0 0 4 | 31.1 | 24 |
| 2 0 0 | 43.0 | 21 |
| 2 1 3 | 53.7 | 21 |
| 1 0 4 | 37.9 | 20 |
| 2 2 0 | 60.1 | 15 |

Atomic structure:
a b c (Å): 4.211 4.514 11.498
angles (deg): 90.00 90.00 90.00
Space group Pmm2 (No. 25)
Inequivalent atoms, fractional coordinates:
Pr1 0.000 0.000 0.000 (multiplicity 1)
Pr2 0.000 0.500 0.496 (multiplicity 1)
Pr3 0.500 0.000 0.280 (multiplicity 1)
Pr4 0.500 0.500 0.784 (multiplicity 1)
Al1 0.500 0.000 0.575 (multiplicity 1)
Ga1 0.000 0.000 0.712 (multiplicity 1)
Ga2 0.000 0.500 0.209 (multiplicity 1)
Ga3 0.500 0.500 0.070 (multiplicity 1)

***

Entry 4:
Pr2Al2Ga: computed powder XRD pattern (Cu Ka), based on a crystal structure in Alexandria, relaxed with PBE.
Lines closer than 0.1° are merged.

Main lines, in order of falling intensity (2θ = 5–70°):
| index | Position (°2θ) | Rel. int. |
| --- | --- | --- |
| 3 1 -1 | 31.2 | 100 |
| 1 1 2 | 30.8 | 97 |
| 2 0 -3 | 23.9 | 42 |
| 4 0 -2 | 31.1 | 40 |
| 3 1 -4 | 39.0 | 40 |
| 0 2 0 | 41.5 | 35 |
| 1 1 -1 | 22.3 | 31 |
| 4 0 1 | 40.2 | 25 |
| 0 0 4 | 35.4 | 25 |
| 7 1 -3 | 60.1 | 22 |

Atomic structure:
a b c (Å): 11.524 4.357 11.432
angles (deg): 90.00 117.50 90.00
Space group C2/m (No. 12)
Inequivalent atoms, fractional coordinates:
Pr1 0.108 0.000 0.402 (multiplicity 4)
Pr2 0.209 0.500 0.147 (multiplicity 4)
Al1 0.037 0.000 0.912 (multiplicity 4)
Al2 0.116 0.500 0.615 (multiplicity 4)
Ga1 0.065 0.500 0.814 (multiplicity 4)

***

Entry 5:
Pr2AlGa12: computed powder XRD pattern (Cu Ka), based on a crystal structure in Alexandria, relaxed with PBE.
Lines closer than 0.1° are merged.

Main lines, in order of falling intensity (2θ = 5–70°):
| index | Position (°2θ) | Rel. int. |
| --- | --- | --- |
| 2 0 2 | 30.4 | 100 |
| 2 2 0 | 40.0 | 58 |
| 1 1 6 | 41.1 | 50 |
| 1 1 4 | 30.9 | 44 |
| 3 1 4 | 51.4 | 26 |
| 2 0 4 | 36.9 | 23 |
| 3 1 8 | 68.1 | 16 |
| 2 0 6 | 46.0 | 16 |
| 2 1 3 | 36.2 | 14 |
| 4 2 2 | 66.7 | 12 |

Atomic structure:
a b c (Å): 6.382 6.382 15.072
angles (deg): 90.00 90.00 90.00
Space group P4/nbm (No. 125, origin choice 2)
Inequivalent atoms, fractional coordinates:
Pr1 0.250 0.750 0.244 (multiplicity 4)
Al1 0.250 0.750 0.000 (multiplicity 2)
Ga1 0.001 0.501 0.090 (multiplicity 8)
Ga2 0.079 0.579 0.572 (multiplicity 8)
Ga3 0.250 0.250 0.180 (multiplicity 4)
Ga4 0.250 0.250 0.345 (multiplicity 4)

***

Entry 6:
Pr3AlGa3: computed powder XRD pattern (Cu Ka), based on a crystal structure in Alexandria, relaxed with PBE.
Lines closer than 0.1° are merged.

Main lines, in order of falling intensity (2θ = 5–70°):
| index | Position (°2θ) | Rel. int. |
| --- | --- | --- |
| 1 1 -4 | 31.5 | 100 |
| 3 1 -1 | 30.9 | 87 |
| 1 1 3 | 31.1 | 80 |
| 0 2 0 | 40.3 | 61 |
| 3 1 2 | 38.0 | 51 |
| 4 0 -2 | 31.4 | 41 |
| 3 1 -4 | 35.5 | 32 |
| 0 0 6 | 39.3 | 29 |
| 7 1 -3 | 60.4 | 29 |
| 4 0 -5 | 37.8 | 22 |

Atomic structure:
a b c (Å): 11.422 4.475 14.682
angles (deg): 90.00 110.46 90.00
Space group C2/m (No. 12)
Inequivalent atoms, fractional coordinates:
Pr1 0.019 0.000 0.380 (multiplicity 4)
Pr2 0.109 0.000 0.926 (multiplicity 4)
Pr3 0.241 0.000 0.226 (multiplicity 4)
Al1 0.232 0.500 0.394 (multiplicity 4)
Ga1 0.030 0.500 0.229 (multiplicity 4)
Ga2 0.104 0.500 0.077 (multiplicity 4)
Ga3 0.140 0.500 0.544 (multiplicity 4)